# ErGa2
Simulated powder XRD pattern, Cu Kα. Input: the PBE geometry in the Materials Project.

Structural model:
abc: 4.198 4.198 4.067
angles: 90.00 90.00 120.00
Atoms (fractional coordinates):
Er 0.000 0.000 0.000
Ga 0.333 0.667 0.500
Ga 0.667 0.333 0.500

Principal peaks in the range 10° ≤ 2θ ≤ 90°, low angle first:
- 2θ = 24.49°, intensity 16, hkl 1 0 0
- 2θ = 33.05°, intensity 100, hkl 1 0 1
- 2θ = 43.10°, intensity 41, hkl 1 1 0
- 2θ = 44.56°, intensity 12, hkl 0 0 2
- 2θ = 50.19°, intensity 2, hkl 2 0 0
- 2θ = 51.50°, intensity 4, hkl 1 0 2
- 2θ = 55.36°, intensity 23, hkl 2 0 1
- 2θ = 63.73°, intensity 25, hkl 1 1 2
- 2θ = 72.63°, intensity 20, hkl 2 1 1
- 2θ = 74.74°, intensity 9, hkl 1 0 3
- 2θ = 79.01°, intensity 7, hkl 3 0 0
- 2θ = 85.24°, intensity 2, hkl 2 1 2